Theoretical X-ray diffraction stick pattern
Compound: K2AlCuH6
Radiation: Cu Kα X-rays
Structure: DFT lattice parameters and positions (PBE)
Kinematic intensities with the Lorentz-polarization factor, no thermal factor.

Lattice parameters (Å, degrees): 5.6823 7.0530 6.0394 90.00 90.00 90.00
Space group Imm2 (No. 44)
Asymmetric unit:
K 0.0000 0.2426 0.0000 (multiplicity 4)
Al 0.0000 0.0000 0.4902 (multiplicity 2)
Cu 0.0000 0.5000 0.5764 (multiplicity 2)
H 0.0000 0.2740 0.4865 (multiplicity 4)
H 0.2166 0.0000 0.6789 (multiplicity 4)
H 0.2328 0.0000 0.2647 (multiplicity 4)

Main lines, sorted by position (2θ = 5–70°):
Position (°2θ)  I_rel
19.35  16.5
29.58  29.6
31.49  31.3
33.38  100.0
43.75  20.3
57.28  18.7